Structure and simulated powder X-ray diffraction pattern of Li2PbCl4 (a cell relaxed with GGA-PBE; copper Kα).
Peak positions follow from Bragg's law for the DFT cell and can differ from measured ones.

Cell and atoms:
Lattice parameters (Å, degrees): 13.1894 7.7924 9.3366 90.00 134.92 90.00
Space group C2 (No. 5)
Inequivalent atoms, fractional coordinates:
Li (0.0762, 0.0000, 0.3287) x4
Li (0.2476, 0.2489, 0.1715) x4
Pb (0.0000, 0.3781, 0.5000) x2
Pb (0.0000, 0.6273, 0.0000) x2
Cl (0.0269, 0.2802, 0.8260) x4
Cl (0.0289, 0.7179, 0.7280) x4
Cl (0.1992, 0.9678, 0.2283) x4
Cl (0.2010, 0.0299, 0.6743) x4

Top 10 peaks for 2θ = 5–70°, low angle first:
2theta  I (rel.)  (hkl)
14.81  100  1 1 0
19.01  77  2 0 0
24.18  53  1 1 -2
26.56  55  0 2 1
30.94  49  3 1 0
35.89  30  1 3 -1
36.56  49  5 1 -2
38.24  59  2 2 -3
38.57  24  4 0 0
47.44  20  6 2 -3


Structure and simulated powder X-ray diffraction pattern of Ba2TbZnS5 (a cell relaxed with GGA-PBE; copper Kα).
Peak positions follow from Bragg's law for the DFT cell and can differ from measured ones.

Cell and atoms:
Lattice parameters (Å, degrees): 4.1290 18.0540 12.8834 90.00 90.00 90.00
Space group Cmc2_1 (No. 36)
Inequivalent atoms, fractional coordinates:
Ba (0.0000, 0.1180, 0.0000) x4
Ba (0.0000, 0.1278, 0.6378) x4
Tb (0.0000, 0.1998, 0.3309) x4
Zn (0.0000, 0.4438, 0.7440) x4
S (0.0000, 0.0422, 0.3356) x4
S (0.0000, 0.3001, 0.9722) x4
S (0.0000, 0.3143, 0.6849) x4
S (0.0000, 0.3473, 0.3214) x4
S (0.0000, 0.4979, 0.0852) x4

Top 10 peaks for 2θ = 5–70°, low angle first:
2theta  I (rel.)  (hkl)
16.91  11  0 2 2
22.93  35  0 2 3
24.08  11  0 4 2
26.16  26  1 3 0
27.09  17  1 3 1
30.46  100  1 1 3
35.86  30  1 5 2
42.44  10  0 8 2
43.85  15  2 0 0
54.36  12  2 6 1